No. 1
Diffraction record for Cs2CoS2. The powder diffraction line list is theoretical, not measured: it uses a cell relaxed with GGA-PBE and a wavelength of 1.5418 Å.
Intensities are scaled so that the largest is 100.

Atomic structure:
```
Cs2CoS2
1.0
-3.697 6.955 3.127
3.697 -6.955 3.127
3.697 6.955 -3.127
Cs Co S
4 2 4
Direct
0.148 0.169 0.317 Cs
0.352 0.669 0.021 Cs
0.648 0.331 0.979 Cs
0.852 0.831 0.683 Cs
0.250 0.750 0.500 Co
0.750 0.250 0.500 Co
0.089 0.661 0.750 S
0.411 0.161 0.572 S
0.589 0.839 0.428 S
0.911 0.339 0.250 S
```

The 10 most intense peaks (2θ from 15° to 90°), in order of rising 2θ:
Position (°2θ)  d (Å)  I/Imax
22.61  3.933  100.0
25.62  3.477  17.0
28.55  3.127  23.0
28.78  3.102  56.3
31.84  2.811  27.5
37.68  2.387  15.9
38.73  2.325  29.3
43.20  2.094  16.8
51.14  1.786  23.1
56.29  1.634  20.7

=====

No. 2
Diffraction record for Cs2Co3S4. The powder diffraction line list is theoretical, not measured: it uses a cell relaxed with GGA-PBE and a wavelength of 1.5418 Å.
Intensities are scaled so that the largest is 100.

Atomic structure:
```
Cs2Co3S4
1.0
-2.707 5.446 6.807
2.707 -5.446 6.807
2.707 5.446 -6.807
Cs Co S
4 6 8
Direct
0.124 0.244 0.368 Cs
0.376 0.744 0.120 Cs
0.624 0.256 0.880 Cs
0.876 0.756 0.632 Cs
0.003 0.750 0.253 Co
0.250 0.750 0.500 Co
0.497 0.750 0.747 Co
0.503 0.250 0.253 Co
0.750 0.250 0.500 Co
0.997 0.250 0.747 Co
0.045 0.422 0.125 S
0.204 0.078 0.623 S
0.296 0.919 0.875 S
0.455 0.581 0.377 S
0.545 0.419 0.623 S
0.704 0.081 0.125 S
0.796 0.922 0.377 S
0.955 0.578 0.875 S
```

The 10 most intense peaks (2θ from 15° to 90°), in order of rising 2θ:
Position (°2θ)  d (Å)  I/Imax
24.08  3.695  43.6
26.18  3.404  36.5
30.50  2.931  100.0
35.51  2.528  29.9
35.70  2.515  29.5
47.35  1.920  30.1
52.50  1.743  21.8
52.64  1.739  22.4
54.91  1.672  18.1
57.25  1.609  15.4